Diffraction record for Ca2Al2Ag5. The powder X-ray diffraction pattern is calculated, not measured: it uses the PBE geometry in Alexandria and Cu Kα (weighted mean of Kα1 and Kα2).
Neutral-atom scattering factors, no anomalous dispersion.

Principal peaks in the range 15° ≤ 2θ ≤ 90°, by angle:
- 2θ = 19.91°, d 4.459, intensity 15, hkl 0 0 2
- 2θ = 33.95°, d 2.640, intensity 100, hkl 1 1 2
- 2θ = 38.87°, d 2.317, intensity 46, hkl 2 0 0
- 2θ = 41.00°, d 2.202, intensity 24, hkl 1 1 3
- 2θ = 56.14°, d 1.638, intensity 15, hkl 2 2 0
- 2θ = 67.25°, d 1.392, intensity 25, hkl 3 1 2

Structural model:
```
data_Ca2Al2Ag5
_chemical_formula_sum 'Ca2 Al2 Ag5'
_cell_length_a 4.6338
_cell_length_b 4.6338
_cell_length_c 8.9175
_cell_angle_alpha 90.00
_cell_angle_beta 90.00
_cell_angle_gamma 90.00
_space_group_name_H-M_alt 'P 4/m m m'
_space_group_IT_number 123
_space_group_name_Hall '-P 4 2'
loop_
_atom_site_label
_atom_site_type_symbol
_atom_site_fract_x
_atom_site_fract_y
_atom_site_fract_z
Ca1 Ca 0.0000 0.0000 0.0000
Ca2 Ca 0.0000 0.0000 0.5000
Al1 Al 0.5000 0.5000 0.1472
Ag1 Ag 0.0000 0.5000 0.2774
Ag2 Ag 0.5000 0.5000 0.5000
```